(1)
Computed powder XRD pattern
Compound: SrScTl6
Radiation: λ = 1.5418 Å (Cu Kα)
Structure: a cell relaxed with GGA-PBE
Peak positions follow from Bragg's law for the DFT cell and can differ from measured ones.

Atomic structure:
```
SrScTl6
1.0
4.8374 0.0000 0.0000
0.0000 4.8374 0.0000
0.0000 0.0000 9.6445
Sr Sc Tl
1 1 6
Direct
0.0000 0.0000 0.0000
0.0000 0.0000 0.5000
0.0000 0.5000 0.2653
0.0000 0.5000 0.7347
0.5000 0.0000 0.2653
0.5000 0.0000 0.7347
0.5000 0.5000 0.0000
0.5000 0.5000 0.5000
```

The 6 most intense peaks (2θ from 10° to 90°), in order of rising 2θ:
d 2.790, 32.08°, intensity 100; d 2.419, 37.17°, intensity 35; d 2.411, 37.29°, intensity 16; d 1.709, 53.64°, intensity 34; d 1.458, 63.84°, intensity 28; d 1.455, 64.00°, intensity 12

---

(2)
Computed powder XRD pattern
Compound: SrScW
Radiation: λ = 1.5418 Å (Cu Kα)
Structure: a cell relaxed with GGA-PBE
Peak positions follow from Bragg's law for the DFT cell and can differ from measured ones.

Atomic structure:
```
SrScW
1.0
0.0000 2.3059 7.9329
2.0150 0.0000 7.9329
2.0150 2.3059 0.0000
Sr Sc W
1 1 1
Direct
0.0000 0.0000 0.0000
0.7106 0.7106 0.2894
0.3363 0.3363 0.6637
```

The 6 most intense peaks (2θ from 10° to 90°), in order of rising 2θ:
d 7.933, 11.15°, intensity 75; d 2.981, 29.98°, intensity 19; d 2.644, 33.90°, intensity 20; d 2.632, 34.06°, intensity 100; d 2.306, 39.06°, intensity 18; d 2.193, 41.16°, intensity 21

---

(3)
Computed powder XRD pattern
Compound: SrY2Sc
Radiation: λ = 1.5418 Å (Cu Kα)
Structure: a cell relaxed with GGA-PBE
Peak positions follow from Bragg's law for the DFT cell and can differ from measured ones.

Atomic structure:
```
SrY2Sc
1.0
1.8169 1.0490 11.8312
-1.8169 1.0490 11.8312
0.0000 -2.0980 11.8312
Sr Y Sc
1 2 1
Direct
0.0000 0.0000 0.0000
0.2412 0.2412 0.2412
0.4267 0.4267 0.4267
0.8342 0.8342 0.8342
```

The 6 most intense peaks (2θ from 10° to 90°), in order of rising 2θ:
d 2.962, 30.18°, intensity 65; d 2.877, 31.09°, intensity 100; d 2.674, 33.51°, intensity 48; d 2.355, 38.22°, intensity 23; d 1.817, 50.21°, intensity 33; d 1.548, 59.72°, intensity 32

---

(4)
Computed powder XRD pattern
Compound: SrY2Sc
Radiation: λ = 1.5418 Å (Cu Kα)
Structure: a cell relaxed with GGA-PBE
Peak positions follow from Bragg's law for the DFT cell and can differ from measured ones.

Atomic structure:
```
SrY2Sc
1.0
3.5275 0.0000 0.0000
0.0000 5.4563 0.0000
-1.4614 0.0000 7.0924
Sr Y Sc
1 2 1
Direct
0.0000 0.0000 0.0000
0.4205 0.5000 0.7132
0.5795 0.5000 0.2868
0.0000 0.0000 0.5000
```

The 6 most intense peaks (2θ from 10° to 90°), in order of rising 2θ:
d 2.973, 30.05°, intensity 100; d 2.919, 30.63°, intensity 93; d 2.770, 32.32°, intensity 47; d 2.728, 32.83°, intensity 45; d 1.944, 46.74°, intensity 32; d 1.618, 56.92°, intensity 30

---

(5)
Computed powder XRD pattern
Compound: SrYSc
Radiation: λ = 1.5418 Å (Cu Kα)
Structure: a cell relaxed with GGA-PBE
Peak positions follow from Bragg's law for the DFT cell and can differ from measured ones.

Atomic structure:
```
SrYSc
1.0
3.6498 0.0000 0.0000
-1.8249 3.1608 0.0000
0.0000 0.0000 8.9139
Sr Y Sc
1 1 1
Direct
0.0000 0.0000 0.0000
0.6667 0.3333 0.3709
0.3333 0.6667 0.6568
```

The 6 most intense peaks (2θ from 10° to 90°), in order of rising 2θ:
d 4.457, 19.92°, intensity 9; d 2.977, 30.01°, intensity 100; d 2.578, 34.80°, intensity 47; d 1.825, 49.98°, intensity 17; d 1.821, 50.08°, intensity 18; d 1.555, 59.42°, intensity 28

---

(6)
Computed powder XRD pattern
Compound: SrYSc2
Radiation: λ = 1.5418 Å (Cu Kα)
Structure: a cell relaxed with GGA-PBE
Peak positions follow from Bragg's law for the DFT cell and can differ from measured ones.

Atomic structure:
```
SrYSc2
1.0
3.6272 0.0000 0.0000
0.0000 4.5971 0.0000
0.0000 0.0000 7.8165
Sr Y Sc
1 1 2
Direct
0.0000 0.0000 0.0000
0.0000 0.0000 0.5000
0.5000 0.5000 0.2958
0.5000 0.5000 0.7042
```

The 6 most intense peaks (2θ from 10° to 90°), in order of rising 2θ:
d 2.978, 30.01°, intensity 100; d 2.848, 31.42°, intensity 99; d 2.659, 33.71°, intensity 73; d 2.300, 39.17°, intensity 43; d 1.739, 52.64°, intensity 39; d 1.549, 59.70°, intensity 26